No. 1
Dy3Ho8Zr: simulated powder X-ray diffraction pattern (CuKα), based on a cell relaxed with GGA-PBE.

```
Dy3Ho8Zr
1.0
-3.792 3.792 7.554
3.792 -3.792 7.554
3.792 3.792 -7.554
Dy Ho Zr
3 8 1
direct
0.000 0.000 0.000
0.250 0.750 0.500
0.750 0.250 0.500
0.139 0.139 0.518
0.139 0.621 0.000
0.379 0.379 0.518
0.379 0.861 0.000
0.621 0.139 0.000
0.621 0.621 0.482
0.861 0.379 0.000
0.861 0.861 0.482
0.500 0.500 0.000
```

The 10 most intense peaks (10 to 90 degrees two-theta), sorted by position:
d 4.373, rel. 22.4; d 3.787, rel. 18.3; d 2.678, rel. 100.0; d 2.286, rel. 8.1; d 1.896, rel. 12.0; d 1.889, rel. 5.9; d 1.547, rel. 24.4; d 1.544, rel. 12.0; d 1.338, rel. 7.3; d 1.199, rel. 10.2

=====

No. 2
Mn9Fe2N8: simulated powder X-ray diffraction pattern (CuKα), based on a cell relaxed with GGA-PBE.

```
Mn9Fe2N8
1.0
7.177 -2.045 0.000
7.177 2.045 0.000
-1.934 0.000 6.181
Mn Fe N
9 2 8
direct
0.000 0.000 0.000
0.098 0.098 0.471
0.179 0.179 0.924
0.354 0.354 0.789
0.457 0.457 0.274
0.543 0.543 0.726
0.646 0.646 0.211
0.821 0.821 0.076
0.902 0.902 0.529
0.280 0.280 0.320
0.720 0.720 0.680
0.044 0.044 0.733
0.142 0.142 0.205
0.322 0.322 0.069
0.401 0.401 0.537
0.599 0.599 0.463
0.678 0.678 0.931
0.858 0.858 0.795
0.956 0.956 0.267
```

The 10 most intense peaks (10 to 90 degrees two-theta), sorted by position:
d 2.332, rel. 100.0; d 2.058, rel. 28.9; d 2.045, rel. 35.0; d 1.960, rel. 28.0; d 1.451, rel. 16.1; d 1.419, rel. 13.6; d 1.415, rel. 16.8; d 1.229, rel. 12.0; d 1.191, rel. 9.1; d 1.166, rel. 13.3